Entry 1:
Calculated powder XRD pattern
Compound: La2HoSe4
Radiation: copper Kα
Structure: a DFT-relaxed cell (PBE, Alexandria)
Neutral-atom scattering factors, no anomalous dispersion.

Main lines, by angle (2θ = 10–90°):
hkl	d/Å	two_theta	Rel. int.
0 2 3	3.943	22.5	100
0 2 4	3.177	28.1	39
1 3 1	3.012	29.7	67
1 3 2	2.827	31.6	100
1 1 5	2.294	39.3	51
1 5 2	2.216	40.7	38
0 6 3	2.124	42.6	44
2 0 0	2.024	44.8	44

```
data_La2HoSe4
_symmetry_space_group_name_H-M 'C m c m'
_symmetry_Int_Tables_number 63
_symmetry_space_group_name_Hall '-C 2c 2'
_cell_length_a 4.0483
_cell_length_b 14.2645
_cell_length_c 14.1963
_cell_angle_alpha 90.00
_cell_angle_beta 90.00
_cell_angle_gamma 90.00
loop_
_atom_site_label
_atom_site_type_symbol
_atom_site_fract_x
_atom_site_fract_y
_atom_site_fract_z
La1 La 0.0000 0.1302 0.0738
Ho1 Ho 0.0000 0.3715 0.2500
Se1 Se 0.0000 0.0153 0.2500
Se2 Se 0.0000 0.2182 0.6269
Se3 Se 0.0000 0.5000 0.0000
```


Entry 2:
Calculated powder XRD pattern
Compound: Tb6Pr8In
Radiation: copper Kα
Structure: a DFT-relaxed cell (PBE, Alexandria)
Neutral-atom scattering factors, no anomalous dispersion.

Main lines, by angle (2θ = 10–90°):
hkl	d/Å	two_theta	Rel. int.
0 2 1	3.472	25.7	18
2 1 0	3.078	29.0	49
2 1 1	2.792	32.1	100
2 -1 2	2.716	33.0	47
5 -3 1	1.798	50.8	20
1 4 0	1.776	51.5	16
6 -4 1	1.499	61.9	18
5 -3 3	1.428	65.3	11

```
data_Tb6Pr8In
_symmetry_space_group_name_H-M 'P -3'
_symmetry_Int_Tables_number 147
_cell_length_a 9.3951
_cell_length_b 9.3951
_cell_length_c 6.6598
_cell_angle_alpha 90.00
_cell_angle_beta 90.00
_cell_angle_gamma 120.00
loop_
_symmetry_equiv_pos_as_xyz
'x,y,z'
'-x,-y,-z'
'-y,x-y,z'
'y,-x+y,-z'
'-x+y,-x,z'
'x-y,x,-z'
loop_
_atom_site_label
_atom_site_type_symbol
_atom_site_fract_x
_atom_site_fract_y
_atom_site_fract_z
Tb1 Tb 0.0971 0.4446 0.1609
Pr1 Pr 0.0419 0.2739 0.6780
Pr2 Pr 0.3333 0.6667 0.6342
In1 In 0.0000 0.0000 0.0000
```


Entry 3:
Calculated powder XRD pattern
Compound: CsK2SrSn
Radiation: copper Kα
Structure: a DFT-relaxed cell (PBE, Alexandria)
Neutral-atom scattering factors, no anomalous dispersion.

Main lines, by angle (2θ = 10–90°):
hkl	d/Å	two_theta	Rel. int.
1 1 0	4.985	17.8	82
1 0 1	4.803	18.5	62
1 1 1	3.969	22.4	50
2 0 0	3.525	25.3	100
0 0 2	3.280	27.2	42
2 2 0	2.492	36.0	39
2 0 2	2.401	37.5	70
2 2 2	1.985	45.7	39

```
data_CsK2SrSn
_symmetry_space_group_name_H-M 'P 4/m m m'
_symmetry_Int_Tables_number 123
_symmetry_space_group_name_Hall '-P 4 2'
_cell_length_a 7.0496
_cell_length_b 7.0496
_cell_length_c 6.5610
_cell_angle_alpha 90.00
_cell_angle_beta 90.00
_cell_angle_gamma 90.00
loop_
_atom_site_label
_atom_site_type_symbol
_atom_site_fract_x
_atom_site_fract_y
_atom_site_fract_z
Cs1 Cs 0.0000 0.0000 0.0000
K1 K 0.0000 0.5000 0.5000
Sr1 Sr 0.5000 0.5000 0.0000
Sn1 Sn 0.5000 0.5000 0.5000
```


Entry 4:
Calculated powder XRD pattern
Compound: Ac2NdSi4
Radiation: copper Kα
Structure: a DFT-relaxed cell (PBE, Alexandria)
Neutral-atom scattering factors, no anomalous dispersion.

Main lines, by angle (2θ = 10–90°):
hkl	d/Å	two_theta	Rel. int.
0 1 1	4.403	20.2	18
1 0 3	3.434	26.0	48
0 0 6	3.134	28.5	18
0 1 5	2.893	30.9	100
0 2 0	2.264	39.8	16
1 2 3	1.890	48.1	19
1 0 9	1.860	49.0	28
2 1 5	1.674	54.8	17

```
data_Ac2NdSi4
_symmetry_space_group_name_H-M 'I m m m'
_symmetry_Int_Tables_number 71
_symmetry_space_group_name_Hall '-I 2 2'
_cell_length_a 4.1042
_cell_length_b 4.5285
_cell_length_c 18.8021
_cell_angle_alpha 90.00
_cell_angle_beta 90.00
_cell_angle_gamma 90.00
loop_
_atom_site_label
_atom_site_type_symbol
_atom_site_fract_x
_atom_site_fract_y
_atom_site_fract_z
Ac1 Ac 0.0000 0.0000 0.1827
Nd1 Nd 0.0000 0.5000 0.5000
Si1 Si 0.0000 0.0000 0.3678
Si2 Si 0.0000 0.5000 0.0625
```


Entry 5:
Calculated powder XRD pattern
Compound: HoSn6Ir
Radiation: copper Kα
Structure: a DFT-relaxed cell (PBE, Alexandria)
Neutral-atom scattering factors, no anomalous dispersion.

Main lines, by angle (2θ = 10–90°):
hkl	d/Å	two_theta	Rel. int.
1 1 -2	3.076	29.0	79
2 0 0	2.914	30.7	64
2 2 -1	2.759	32.5	55
0 4 0	2.744	32.6	100
0 2 2	2.583	34.7	61
1 3 -2	2.411	37.3	90
2 2 1	2.090	43.3	46
1 7 -2	1.408	66.4	43

```
data_HoSn6Ir
_symmetry_space_group_name_H-M 'C 1 2/m 1'
_symmetry_Int_Tables_number 12
_cell_length_a 6.4088
_cell_length_b 10.9770
_cell_length_c 6.4379
_cell_angle_alpha 90.00
_cell_angle_beta 114.57
_cell_angle_gamma 90.00
loop_
_symmetry_equiv_pos_as_xyz
'x,y,z'
'-x,-y,-z'
'-x,y,-z'
'x,-y,z'
'x+1/2,y+1/2,z'
'-x+1/2,-y+1/2,-z'
'-x+1/2,y+1/2,-z'
'x+1/2,-y+1/2,z'
loop_
_atom_site_label
_atom_site_type_symbol
_atom_site_fract_x
_atom_site_fract_y
_atom_site_fract_z
Ho1 Ho 0.0000 0.0000 0.0000
Sn1 Sn 0.0498 0.5000 0.2798
Sn2 Sn 0.0963 0.2236 0.7488
Ir1 Ir 0.0000 0.0000 0.5000
```


Entry 6:
Calculated powder XRD pattern
Compound: Pm2CuSi3Pd4
Radiation: copper Kα
Structure: a DFT-relaxed cell (PBE, Alexandria)
Neutral-atom scattering factors, no anomalous dispersion.

Main lines, by angle (2θ = 10–90°):
hkl	d/Å	two_theta	Rel. int.
1 1 1	2.901	30.8	21
1 0 3	2.592	34.6	58
1 1 2	2.579	34.8	100
2 0 0	2.149	42.0	59
1 0 5	1.776	51.5	21
2 1 3	1.654	55.5	30
2 2 0	1.520	61.0	23
3 1 2	1.309	72.2	23

```
data_Pm2CuSi3Pd4
_symmetry_space_group_name_H-M 'P -4 m 2'
_symmetry_Int_Tables_number 115
_cell_length_a 4.2978
_cell_length_b 4.2978
_cell_length_c 9.7511
_cell_angle_alpha 90.00
_cell_angle_beta 90.00
_cell_angle_gamma 90.00
loop_
_symmetry_equiv_pos_as_xyz
'x,y,z'
'y,-x,-z'
'-x,-y,z'
'-y,x,-z'
'-x,y,z'
'-y,-x,-z'
'x,-y,z'
'y,x,-z'
loop_
_atom_site_label
_atom_site_type_symbol
_atom_site_fract_x
_atom_site_fract_y
_atom_site_fract_z
Pm1 Pm 0.0000 0.5000 0.2415
Cu1 Cu 0.5000 0.5000 0.0000
Si1 Si 0.0000 0.0000 0.0000
Si2 Si 0.0000 0.5000 0.6266
Pd1 Pd 0.0000 0.0000 0.5000
Pd2 Pd 0.0000 0.5000 0.8702
Pd3 Pd 0.5000 0.5000 0.5000
```


Entry 7:
Calculated powder XRD pattern
Compound: Pr2Dy5Y
Radiation: copper Kα
Structure: a DFT-relaxed cell (PBE, Alexandria)
Neutral-atom scattering factors, no anomalous dispersion.

Main lines, by angle (2θ = 10–90°):
hkl	d/Å	two_theta	Rel. int.
5 1 0	3.061	29.2	31
4 2 -1	2.967	30.1	26
3 1 -2	2.881	31.0	26
1 3 1	2.865	31.2	100
6 2 1	2.124	42.6	10
4 4 -1	2.062	43.9	11
0 6 0	1.656	55.5	10
2 6 2	1.433	65.1	11

```
data_Pr2Dy5Y
_symmetry_space_group_name_H-M 'C 1 2/c 1'
_symmetry_Int_Tables_number 15
_cell_length_a 16.3010
_cell_length_b 9.9316
_cell_length_c 6.6068
_cell_angle_alpha 90.00
_cell_angle_beta 99.33
_cell_angle_gamma 90.00
loop_
_symmetry_equiv_pos_as_xyz
'x,y,z'
'-x,-y,-z'
'-x,y,-z+1/2'
'x,-y,z+1/2'
'x+1/2,y+1/2,z'
'-x+1/2,-y+1/2,-z'
'-x+1/2,y+1/2,-z+1/2'
'x+1/2,-y+1/2,z+1/2'
loop_
_atom_site_label
_atom_site_type_symbol
_atom_site_fract_x
_atom_site_fract_y
_atom_site_fract_z
Pr1 Pr 0.0792 0.2460 0.1172
Dy1 Dy 0.0000 0.4401 0.7500
Dy2 Dy 0.1006 0.0878 0.6477
Dy3 Dy 0.1982 0.4118 0.5256
Y1 Y 0.2500 0.2500 0.0000
```


Entry 8:
Calculated powder XRD pattern
Compound: GeTe2AuO8
Radiation: copper Kα
Structure: a DFT-relaxed cell (PBE, Alexandria)
Neutral-atom scattering factors, no anomalous dispersion.

Main lines, by angle (2θ = 10–90°):
hkl	d/Å	two_theta	Rel. int.
1 1 0	4.950	17.9	23
1 1 1	3.140	28.4	100
3 1 -1	3.004	29.7	83
0 2 0	2.811	31.8	40
4 0 0	2.610	34.4	18
2 0 -2	2.572	34.9	24
4 2 0	1.913	47.5	25
2 2 -2	1.898	47.9	25

```
data_GeTe2AuO8
_symmetry_space_group_name_H-M 'C 1 2/m 1'
_symmetry_Int_Tables_number 12
_cell_length_a 11.3657
_cell_length_b 5.6219
_cell_length_c 5.1544
_cell_angle_alpha 90.00
_cell_angle_beta 113.30
_cell_angle_gamma 90.00
loop_
_symmetry_equiv_pos_as_xyz
'x,y,z'
'-x,-y,-z'
'-x,y,-z'
'x,-y,z'
'x+1/2,y+1/2,z'
'-x+1/2,-y+1/2,-z'
'-x+1/2,y+1/2,-z'
'x+1/2,-y+1/2,z'
loop_
_atom_site_label
_atom_site_type_symbol
_atom_site_fract_x
_atom_site_fract_y
_atom_site_fract_z
Ge1 Ge 0.0000 0.0000 0.0000
Te1 Te 0.2294 0.5000 0.2296
Au1 Au 0.0000 0.5000 0.5000
O1 O 0.0964 0.0000 0.7875
O2 O 0.1047 0.2538 0.2613
O3 O 0.1741 0.5000 0.8223
```


Entry 9:
Calculated powder XRD pattern
Compound: ZrFeAgPd2
Radiation: copper Kα
Structure: a DFT-relaxed cell (PBE, Alexandria)
Neutral-atom scattering factors, no anomalous dispersion.

Main lines, by angle (2θ = 10–90°):
hkl	d/Å	two_theta	Rel. int.
1 0 0	4.847	18.3	46
1 1 1	2.857	31.3	100
0 0 2	2.588	34.7	50
2 0 0	2.423	37.1	83
2 0 2	1.769	51.7	62
2 2 0	1.714	53.5	28
3 1 1	1.470	63.3	25
2 2 2	1.429	65.3	30

```
data_ZrFeAgPd2
_symmetry_space_group_name_H-M 'P 4/m m m'
_symmetry_Int_Tables_number 123
_symmetry_space_group_name_Hall '-P 4 2'
_cell_length_a 4.8469
_cell_length_b 4.8469
_cell_length_c 5.1750
_cell_angle_alpha 90.00
_cell_angle_beta 90.00
_cell_angle_gamma 90.00
loop_
_atom_site_label
_atom_site_type_symbol
_atom_site_fract_x
_atom_site_fract_y
_atom_site_fract_z
Zr1 Zr 0.0000 0.0000 0.0000
Fe1 Fe 0.5000 0.5000 0.5000
Ag1 Ag 0.0000 0.0000 0.5000
Pd1 Pd 0.0000 0.5000 0.0000
```


Entry 10:
Calculated powder XRD pattern
Compound: Cd2Pd3Pb
Radiation: copper Kα
Structure: a DFT-relaxed cell (PBE, Alexandria)
Neutral-atom scattering factors, no anomalous dispersion.

Main lines, by angle (2θ = 10–90°):
hkl	d/Å	two_theta	Rel. int.
1 0 3	2.364	38.1	100
1 1 0	2.354	38.2	51
0 0 6	1.678	54.7	8
2 0 0	1.665	55.2	17
1 1 6	1.366	68.7	16
2 1 3	1.361	69.0	34
2 0 6	1.182	81.4	10
2 2 0	1.177	81.8	7

```
data_Cd2Pd3Pb
_symmetry_space_group_name_H-M 'P 4/m m m'
_symmetry_Int_Tables_number 123
_symmetry_space_group_name_Hall '-P 4 2'
_cell_length_a 3.3295
_cell_length_b 3.3295
_cell_length_c 10.0670
_cell_angle_alpha 90.00
_cell_angle_beta 90.00
_cell_angle_gamma 90.00
loop_
_atom_site_label
_atom_site_type_symbol
_atom_site_fract_x
_atom_site_fract_y
_atom_site_fract_z
Cd1 Cd 0.0000 0.0000 0.1583
Pd1 Pd 0.5000 0.5000 0.0000
Pd2 Pd 0.5000 0.5000 0.3172
Pb1 Pb 0.0000 0.0000 0.5000
```